(1)
This entry pairs a crystal structure of V3OF11 with its computed powder X-ray diffraction pattern. Radiation: Cu Kα. Structure: a crystal structure in Alexandria, relaxed with GGA+U.
Lines closer than 0.1° are merged.

a b c (Å): 5.271 5.465 15.001
angles (deg): 79.67 89.88 89.66
Fractional coordinates of all 30 atoms:
V: 0.000 0.000 0.000
V: 0.000 0.332 0.332
V: 0.020 0.683 0.667
V: 0.482 0.471 0.004
V: 0.482 0.803 0.337
V: 0.521 0.183 0.667
O: 0.301 0.223 0.024
O: 0.301 0.555 0.357
F: 0.104 0.723 0.551
F: 0.108 0.062 0.887
F: 0.109 0.393 0.219
F: 0.218 0.372 0.691
F: 0.222 0.035 0.360
F: 0.222 0.704 0.027
F: 0.323 0.873 0.689
F: 0.433 0.907 0.219
F: 0.434 0.575 0.887
F: 0.440 0.229 0.551
F: 0.603 0.141 0.783
F: 0.609 0.479 0.113
F: 0.609 0.809 0.446
F: 0.719 0.493 0.645
F: 0.722 0.143 0.309
F: 0.722 0.812 0.977
F: 0.788 0.308 0.975
F: 0.788 0.639 0.307
F: 0.823 0.993 0.643
F: 0.936 0.309 0.449
F: 0.936 0.976 0.117
F: 0.940 0.643 0.783

Peak list (6 most intense, 10 to 80 degrees two-theta, most intense first)
two_theta  I (rel.)
18.0  100
25.1  88
25.2  85
52.4  16
32.8  15
48.1  15

***

(2)
This entry pairs a crystal structure of Cs2LiMnO4 with its computed powder X-ray diffraction pattern. Radiation: Cu Kα. Structure: a crystal structure in Alexandria, relaxed with GGA+U.
Lines closer than 0.1° are merged.

a b c (Å): 6.892 6.892 8.311
angles (deg): 90.00 90.00 127.69
Fractional coordinates of all 16 atoms:
Cs: 0.073 0.927 0.500
Cs: 0.394 0.606 0.365
Cs: 0.606 0.394 0.865
Cs: 0.927 0.073 0.000
Li: 0.208 0.792 0.083
Li: 0.792 0.208 0.583
Mn: 0.302 0.698 0.802
Mn: 0.698 0.302 0.302
O: 0.102 0.429 0.700
O: 0.165 0.835 0.849
O: 0.361 0.639 0.991
O: 0.429 0.102 0.200
O: 0.571 0.898 0.700
O: 0.639 0.361 0.491
O: 0.835 0.165 0.349
O: 0.898 0.571 0.200

Peak list (6 most intense, 10 to 80 degrees two-theta, most intense first)
two_theta  I (rel.)
28.3  100
27.0  56
29.4  41
46.8  36
35.5  31
21.4  24